No. 1
Simulated PXRD pattern of Li8SbS6 for Cu Kα (weighted mean of Kα1 and Kα2), from a PBE-relaxed structure.
Peak positions follow from Bragg's law for the DFT cell and can differ from measured ones.

```
30
Lattice="7.062 0.000 0.000 -3.531 6.116 0.000 0.000 0.000 13.462" Properties=species:S:1:pos:R:3 pbc="T T T"
Li -1.157 2.005 0.000
Li -1.343 2.326 4.949
Li -2.188 3.790 11.680
Li -2.374 4.111 6.731
Li 2.315 0.000 0.000
Li 1.157 2.005 6.731
Li 0.000 4.077 1.777
Li 0.000 4.077 8.507
Li 2.686 0.000 4.949
Li 1.343 2.326 11.680
Li 4.377 0.000 11.680
Li 2.188 3.790 4.949
Li 3.531 2.039 1.777
Li 3.531 2.039 8.507
Li 4.747 0.000 6.731
Li 2.374 4.111 0.000
Sb 0.000 0.000 3.056
Sb 0.000 0.000 9.787
S 0.000 0.000 5.608
S 0.000 0.000 12.339
S -1.211 2.097 2.490
S -2.320 4.019 9.221
S 0.000 4.077 6.040
S 0.000 4.077 12.771
S 2.421 0.000 2.490
S 1.211 2.097 9.221
S 4.641 0.000 9.221
S 2.320 4.019 2.490
S 3.531 2.039 6.040
S 3.531 2.039 12.771
```

Main lines, in order of rising 2θ (2θ = 5–70°):
2θ (°), I_rel
14.48, 76.4
19.61, 100.0
25.22, 49.7
26.48, 40.0
32.15, 33.0
44.44, 45.4



No. 2
Simulated PXRD pattern of Li3Sb11S18 for Cu Kα (weighted mean of Kα1 and Kα2), from a PBE-relaxed structure.
Peak positions follow from Bragg's law for the DFT cell and can differ from measured ones.

```
32
Lattice="6.946 0.000 0.000 -2.436 7.693 0.000 -0.103 -4.085 15.039" Properties=species:S:1:pos:R:3 pbc="T T T"
Li 0.000 0.000 0.000
Li -1.030 3.511 0.050
Li 4.051 3.286 10.500
Sb -0.865 3.740 4.745
Sb 0.601 -0.262 4.729
Sb 1.600 -1.661 8.636
Sb 0.567 2.032 8.768
Sb 0.982 6.292 1.874
Sb 2.447 2.541 1.639
Sb 2.130 0.683 13.478
Sb 3.577 -3.296 13.345
Sb 3.868 1.057 6.419
Sb 2.783 4.669 6.968
Sb 5.391 -0.668 10.512
S -0.467 -0.593 7.648
S -0.667 1.653 10.978
S 0.540 -2.024 10.899
S 1.221 -0.075 2.234
S -0.058 3.942 2.335
S 1.136 -1.884 14.575
S 0.036 1.880 14.584
S 2.829 -1.189 5.467
S 1.827 2.373 5.883
S 2.595 0.653 9.286
S 1.740 4.186 9.448
S 4.500 1.158 0.627
S 3.357 4.845 0.649
S 3.257 2.999 12.919
S 4.635 -0.919 12.910
S 4.969 1.572 4.147
S 4.007 5.131 4.344
S 4.841 3.466 7.632
```

Main lines, in order of rising 2θ (2θ = 5–70°):
2θ (°), I_rel
18.65, 86.4
25.51, 66.7
25.85, 63.1
26.23, 100.0
30.89, 78.6
31.13, 73.0



No. 3
Simulated PXRD pattern of Li34Sb8S7 for Cu Kα (weighted mean of Kα1 and Kα2), from a PBE-relaxed structure.
Peak positions follow from Bragg's law for the DFT cell and can differ from measured ones.

```
49
Lattice="-4.848 4.848 9.583 4.848 -4.848 9.583 4.848 4.848 -9.583" Properties=species:S:1:pos:R:3 pbc="T T T"
Li 7.523 -0.718 2.416
Li 3.995 2.965 -4.632
Li 4.848 0.000 1.348
Li 4.131 -2.675 7.166
Li 7.001 1.366 0.000
Li 1.883 -0.853 4.951
Li 2.173 0.718 2.416
Li 4.051 2.924 -1.388
Li 4.848 0.000 4.791
Li 1.366 2.696 0.000
Li 1.925 -0.798 8.195
Li 2.965 5.701 -4.632
Li -0.718 2.173 2.416
Li 4.051 2.924 1.388
Li 4.848 0.000 8.235
Li 0.853 1.883 4.951
Li 1.925 -0.798 10.970
Li 2.924 5.646 -1.388
Li 3.995 2.965 4.632
Li 0.000 4.848 1.348
Li 0.798 1.925 8.195
Li 5.566 2.675 7.166
Li 1.883 -0.853 14.214
Li 2.924 5.646 1.388
Li 3.483 2.153 9.583
Li 0.000 4.848 4.791
Li 0.798 1.925 10.970
Li 2.675 4.131 7.166
Li 2.965 5.701 4.632
Li -2.153 3.483 9.583
Li 0.718 7.523 2.416
Li 0.000 4.848 8.235
Li 0.853 1.883 14.214
Li -2.675 5.566 7.166
Sb 6.054 1.824 -2.991
Sb 1.824 3.643 -2.991
Sb 6.054 1.824 2.991
Sb 3.025 1.205 6.592
Sb 1.824 3.643 2.991
Sb -1.205 3.025 6.592
Sb 3.025 1.205 12.574
Sb -1.205 3.025 12.574
S 3.078 1.034 0.000
S 0.000 0.000 3.497
S 3.814 -1.770 9.583
S 0.000 0.000 9.583
S 1.034 6.619 0.000
S 0.000 0.000 15.668
S 1.770 3.814 9.583
```

Main lines, in order of rising 2θ (2θ = 5–70°):
2θ (°), I_rel
21.00, 18.1
24.82, 100.0
27.93, 14.2
29.12, 25.5
40.81, 29.5
49.08, 25.5



No. 4
Simulated PXRD pattern of Li34Sb9S6 for Cu Kα (weighted mean of Kα1 and Kα2), from a PBE-relaxed structure.
Peak positions follow from Bragg's law for the DFT cell and can differ from measured ones.

```
49
Lattice="-4.959 4.959 9.353 4.959 -4.959 9.353 4.959 4.959 -9.353" Properties=species:S:1:pos:R:3 pbc="T T T"
Li 7.749 -0.690 2.360
Li 4.125 3.067 -4.477
Li 4.959 0.000 1.379
Li 4.269 -2.790 6.993
Li 7.125 1.477 0.000
Li 1.892 -0.834 4.876
Li 2.168 0.690 2.360
Li 4.078 2.760 -1.441
Li 4.959 0.000 4.676
Li 1.477 2.792 0.000
Li 2.199 -0.880 7.912
Li -0.690 2.168 2.360
Li 3.067 5.793 -4.477
Li 4.078 2.760 1.441
Li 4.959 0.000 7.974
Li 0.834 1.892 4.876
Li 2.199 -0.880 10.793
Li 2.760 5.839 -1.441
Li 4.125 3.067 4.477
Li 0.000 4.959 1.379
Li 0.880 2.199 7.912
Li 1.892 -0.834 13.830
Li 5.649 2.790 6.993
Li 2.760 5.839 1.441
Li 3.482 2.166 9.353
Li 0.000 4.959 4.676
Li 0.880 2.199 10.793
Li 2.790 4.269 6.993
Li 3.067 5.793 4.477
Li -2.166 3.482 9.353
Li 0.690 7.749 2.360
Li 0.000 4.959 7.974
Li 0.834 1.892 13.830
Li -2.790 5.649 6.993
Sb 6.240 1.879 -2.949
Sb 1.879 3.678 -2.949
Sb 6.240 1.879 2.949
Sb 3.080 1.281 6.404
Sb 0.000 0.000 9.353
Sb 1.879 3.678 2.949
Sb -1.281 3.080 6.404
Sb 3.080 1.281 12.302
Sb -1.281 3.080 12.302
S 3.128 0.978 0.000
S 0.000 0.000 3.427
S 3.981 -1.831 9.353
S 0.978 6.789 0.000
S 0.000 0.000 15.279
S 1.831 3.981 9.353
```

Main lines, in order of rising 2θ (2θ = 5–70°):
2θ (°), I_rel
20.58, 15.4
24.63, 100.0
28.46, 27.9
28.63, 14.4
40.81, 25.9
48.14, 24.2



No. 5
Simulated PXRD pattern of Li3SbS4 for Cu Kα (weighted mean of Kα1 and Kα2), from a PBE-relaxed structure.
Peak positions follow from Bragg's law for the DFT cell and can differ from measured ones.

```
8
Lattice="6.188 0.000 0.000 0.000 6.188 0.000 0.000 0.000 6.188" Properties=species:S:1:pos:R:3 pbc="T T T"
Li 0.000 0.000 3.094
Li 0.000 3.094 0.000
Li 3.094 0.000 0.000
Sb 0.000 0.000 0.000
S 1.356 1.356 1.356
S 1.356 4.832 4.832
S 4.832 1.356 4.832
S 4.832 4.832 1.356
```

Main lines, in order of rising 2θ (2θ = 5–70°):
2θ (°), I_rel
14.31, 100.0
20.30, 54.2
24.92, 43.1
32.35, 24.0
35.54, 26.2
41.27, 35.4



No. 6
Simulated PXRD pattern of Sr2LiSbS4 for Cu Kα (weighted mean of Kα1 and Kα2), from a PBE-relaxed structure.
Peak positions follow from Bragg's law for the DFT cell and can differ from measured ones.

```
16
Lattice="-4.072 4.166 5.733 4.072 -4.166 5.733 4.072 4.166 -5.733" Properties=species:S:1:pos:R:3 pbc="T T T"
Sr 0.000 0.000 0.000
Sr -2.036 2.083 2.866
Sr 0.000 4.166 0.000
Sr 2.036 2.083 2.866
Li 4.072 0.000 0.000
Li 0.000 0.000 5.733
Sb 2.036 2.083 -2.866
Sb 2.036 -2.083 2.866
S 4.072 -0.126 2.762
S 2.114 2.083 -0.097
S 6.031 2.083 -0.097
S 4.072 4.040 -2.762
S 0.000 0.126 8.495
S -1.958 2.083 5.829
S 1.958 2.083 5.829
S 0.000 4.292 2.970
```

Main lines, in order of rising 2θ (2θ = 5–70°):
2θ (°), I_rel
13.33, 21.0
26.45, 21.4
26.85, 20.5
30.70, 100.0
31.20, 47.5
44.34, 68.1